Record 1
The following is a calculated powder XRD pattern of La2YSc2In5. It was derived from a cell relaxed with GGA-PBE, using Cu Kα (λ = 1.5418 Å).
Neutral-atom scattering factors, no anomalous dispersion.

Top 8 peaks for 10° ≤ 2θ ≤ 90°, by angle:
Position (°2θ)	I/Imax	h k l
26.65	371	2 1 1
30.36	306	2 2 1
32.61	1000	3 1 1
34.39	525	4 1 0
35.42	169	3 3 0
35.76	358	3 2 1
38.69	414	0 0 2
52.72	304	4 1 2

Crystal structure
abc: 10.752 10.752 4.655
angles: 90.00 90.00 90.00
Space group P4/mbm (No. 127)
Unique sites:
La (0.179, 0.321, 0.000) (multiplicity 4)
Y (0.000, 0.000, 0.000) (multiplicity 2)
Sc (0.119, 0.619, 0.000) (multiplicity 4)
In (0.000, 0.500, 0.500) (multiplicity 2)
In (0.062, 0.797, 0.500) (multiplicity 8)

***

Record 2
The following is a calculated powder XRD pattern of LaInSe. It was derived from a cell relaxed with GGA-PBE, using Cu Kα (λ = 1.5418 Å).
Neutral-atom scattering factors, no anomalous dispersion.

Top 8 peaks for 10° ≤ 2θ ≤ 90°, by angle:
Position (°2θ)	I/Imax	h k l
24.84	475	1 0 4
30.19	252	0 0 9
31.55	884	1 0 7
36.61	1000	1 1 0
48.15	406	1 1 9
49.08	252	0 2 7
59.63	185	1 0 16
62.76	238	2 1 7

Crystal structure
abc: 4.9095 4.9095 26.6448
angles: 90.00 90.00 120.00
Space group R-3m (No. 166, hexagonal axes)
Unique sites:
La (0.0000, 0.0000, 0.0930) (multiplicity 6)
In (0.0000, 0.0000, 0.3444) (multiplicity 6)
Se (0.0000, 0.0000, 0.2087) (multiplicity 6)

***

Record 3
The following is a calculated powder XRD pattern of LaIn2Se4. It was derived from a cell relaxed with GGA-PBE, using Cu Kα (λ = 1.5418 Å).
Neutral-atom scattering factors, no anomalous dispersion.

Top 8 peaks for 10° ≤ 2θ ≤ 90°, by angle:
Position (°2θ)	I/Imax	h k l
19.60	141	1 0 1
24.56	1000	1 1 1
39.81	537	2 0 2
42.27	221	2 2 0
45.11	190	1 1 3
49.49	277	3 1 1
63.52	126	3 1 3
75.63	141	4 2 2

Crystal structure
abc: 6.048 6.048 6.832
angles: 90.00 90.00 90.00
Space group P-42m (No. 111)
Unique sites:
La (0.000, 0.000, 0.000) (multiplicity 1)
In (0.000, 0.500, 0.500) (multiplicity 2)
Se (0.270, 0.270, 0.260) (multiplicity 4)

***

Record 4
The following is a calculated powder XRD pattern of LaIn6Se8. It was derived from a cell relaxed with GGA-PBE, using Cu Kα (λ = 1.5418 Å).
Neutral-atom scattering factors, no anomalous dispersion.

Top 8 peaks for 10° ≤ 2θ ≤ 90°, by angle:
Position (°2θ)	I/Imax	h k l
19.99	362	0 2 1
21.13	408	0 0 3
28.63	1000	3 -2 2
34.14	545	0 2 4
34.82	287	1 3 1
42.12	337	5 -2 1
43.71	302	1 4 0
49.04	398	4 1 3

Crystal structure
abc: 10.9579 10.9579 12.6136
angles: 90.00 90.00 120.00
Space group R-3 (No. 148, hexagonal axes)
Unique sites:
La (0.0000, 0.0000, 0.0000) (multiplicity 3)
In (0.0169, 0.7715, 0.3585) (multiplicity 18)
Se (0.0000, 0.0000, 0.2774) (multiplicity 6)
Se (0.0429, 0.4581, 0.7677) (multiplicity 18)